Calculated X-ray powder pattern of LiH4Pd8 for a wavelength of 1.5418 Å, from the PBE geometry in Alexandria.

Main lines, sorted by position (5° ≤ 2θ ≤ 70°):
- (0 1 0), 12.7°, I = 25
- (0 1 1), 14.2°, I = 17
- (-1 1 1), 38.1°, I = 82
- (1 2 2), 38.3°, I = 81
- (0 0 3), 38.5°, I = 78
- (0 3 0), 38.8°, I = 82
- (0 3 3), 43.5°, I = 56
- (1 -1 2), 45.2°, I = 100
- (-1 1 4), 64.3°, I = 17
- (1 2 5), 64.5°, I = 17
- (-1 4 1), 64.6°, I = 17
- (2 1 1), 65.3°, I = 17

Cell lengths 2.857, 7.640, 7.682 Å; angles 66.82, 79.50, 79.41 degrees
Space group P-1 (No. 2)
Unique sites:
Li (0.000, 0.000, 0.000) (multiplicity 1)
H (0.158, 0.534, 0.164) (multiplicity 2)
H (0.421, 0.756, 0.416) (multiplicity 2)
Pd (0.006, 0.671, 0.323) (multiplicity 2)
Pd (0.328, 0.009, 0.331) (multiplicity 2)
Pd (0.328, 0.666, 0.675) (multiplicity 2)
Pd (0.333, 0.328, 0.002) (multiplicity 2)